Record 1
This entry pairs a crystal structure of MnGaMoP with its calculated powder diffractogram. Radiation: λ = 1.5418 Å (Cu Kα). Structure: a PBE-relaxed structure.
No peak broadening, texture or thermal motion is included.

Crystal structure
```
MnGaMoP
1.0
3.089 0.000 0.000
0.000 3.388 0.000
0.000 0.000 5.379
Mn Ga Mo P
1 1 1 1
Direct
0.000 0.000 0.000
0.500 0.500 0.178
0.500 0.000 0.547
0.000 0.500 0.716
```

The 10 most intense peaks (2θ = 5–70°), low angle first:
d (Å), 2theta, I (rel.)
3.089, 28.9, 10
2.867, 31.2, 20
2.690, 33.3, 20
2.679, 33.4, 34
2.107, 42.9, 44
2.101, 43.0, 100
1.694, 54.1, 16
1.551, 59.6, 20
1.545, 59.9, 12
1.433, 65.1, 14



Record 2
This entry pairs a crystal structure of Mn6Ga4N with its calculated powder diffractogram. Radiation: λ = 1.5418 Å (Cu Kα). Structure: a PBE-relaxed structure.
No peak broadening, texture or thermal motion is included.

Crystal structure
```
Mn6Ga4N
1.0
2.651 0.000 0.000
0.000 4.381 6.434
0.000 -4.381 6.434
Mn Ga N
6 4 1
Direct
0.000 0.000 0.000
0.000 0.679 0.985
0.000 0.985 0.679
0.500 0.365 0.365
0.500 0.422 0.895
0.500 0.895 0.422
0.000 0.307 0.676
0.000 0.664 0.664
0.000 0.676 0.307
0.500 0.173 0.173
0.500 0.888 0.888
```

The 10 most intense peaks (2θ = 5–70°), low angle first:
d (Å), 2theta, I (rel.)
2.849, 31.4, 40
2.490, 36.1, 63
2.451, 36.7, 43
2.414, 37.2, 67
2.145, 42.1, 78
2.139, 42.2, 47
2.046, 44.3, 39
1.811, 50.4, 24
1.807, 50.5, 30
1.785, 51.2, 100